(1)
Computed X-ray powder pattern of PmPa3P4N12 for Cu Ka, from the GGA-PBE geometry in Alexandria.
Neutral-atom scattering factors, no anomalous dispersion.

Main lines, sorted by position (2θ from 10° to 90°):
index, 2theta, d_spacing, Rel. int.
1 1 0, 16.31, 5.434, 20.2
0 2 1, 21.45, 4.143, 85.1
2 1 1, 27.06, 3.295, 19.0
2 0 2, 27.87, 3.202, 100.0
2 2 0, 32.97, 2.717, 38.5
1 3 1, 35.90, 2.501, 19.0
3 1 2, 40.25, 2.241, 18.7
0 4 2, 43.70, 2.072, 16.4
2 2 3, 45.67, 1.987, 24.4
0 2 4, 45.80, 1.981, 25.5

Cell and atoms:
abc: 10.8680 10.8680 8.7368
angles: 90.00 90.00 120.00
Space group R32 (No. 155, hexagonal axes)
Asymmetric unit:
1 Pm 0.0000 0.0000 0.0000 [3 per cell]
2 Pa 0.0000 0.5404 0.0000 [9 per cell]
3 P 0.0000 0.0000 0.5000 [3 per cell]
4 P 0.0000 0.4589 0.5000 [9 per cell]
5 N 0.0000 0.6058 0.5000 [9 per cell]
6 N 0.0000 0.8529 0.5000 [9 per cell]
7 N 0.0167 0.2008 0.1741 [18 per cell]

---

(2)
Computed X-ray powder pattern of TlSiO2 for Cu Ka, from the GGA-PBE geometry in Alexandria.
Neutral-atom scattering factors, no anomalous dispersion.

Main lines, sorted by position (2θ from 10° to 90°):
index, 2theta, d_spacing, Rel. int.
1 1 1, 19.83, 4.476, 43.7
2 2 0, 32.67, 2.741, 100.0
3 1 1, 38.51, 2.338, 46.5
4 0 0, 46.87, 1.938, 13.9
3 3 1, 51.37, 1.779, 12.7
4 2 2, 58.30, 1.583, 38.8
5 1 1, 62.22, 1.492, 15.0
4 4 0, 68.46, 1.371, 14.8
5 3 1, 72.07, 1.311, 9.8
6 2 0, 77.93, 1.226, 16.9

Cell and atoms:
abc: 7.7531 7.7531 7.7531
angles: 90.00 90.00 90.00
Space group Fd-3m (No. 227, origin choice 2)
Asymmetric unit:
1 Tl 0.1250 0.1250 0.1250 [8 per cell]
2 Si 0.1250 0.1250 0.6250 [8 per cell]
3 O 0.0000 0.0000 0.5000 [16 per cell]

---

(3)
Computed X-ray powder pattern of TbEr4Tm8 for Cu Ka, from the GGA-PBE geometry in Alexandria.
Neutral-atom scattering factors, no anomalous dispersion.

Main lines, sorted by position (2θ from 10° to 90°):
index, 2theta, d_spacing, Rel. int.
0 2 1, 28.92, 3.087, 16.6
0 0 9, 30.12, 2.967, 30.1
0 2 4, 31.76, 2.817, 100.0
2 0 5, 33.36, 2.686, 41.3
2 0 8, 39.62, 2.274, 28.9
2 2 0, 50.89, 1.794, 30.0
0 2 13, 53.47, 1.714, 16.4
2 2 9, 60.28, 1.535, 21.6
4 0 4, 61.24, 1.513, 13.5
2 4 4, 83.58, 1.157, 9.5

Cell and atoms:
abc: 7.1773 7.1773 26.7011
angles: 90.00 90.00 120.00
Space group R-3m (No. 166, hexagonal axes)
Asymmetric unit:
1 Tb 0.0000 0.0000 0.0000 [3 per cell]
2 Er 0.0000 0.0000 0.5000 [3 per cell]
3 Er 0.0000 0.5000 0.5000 [9 per cell]
4 Tm 0.0000 0.0000 0.2831 [6 per cell]
5 Tm 0.0371 0.5185 0.2681 [18 per cell]

---

(4)
Computed X-ray powder pattern of Sm2Er5Sc5 for Cu Ka, from the GGA-PBE geometry in Alexandria.
Neutral-atom scattering factors, no anomalous dispersion.

Main lines, sorted by position (2θ from 10° to 90°):
index, 2theta, d_spacing, Rel. int.
2 0 1, 19.57, 4.536, 9.6
3 1 1, 32.01, 2.796, 100.0
0 0 4, 37.11, 2.423, 33.3
0 2 0, 37.18, 2.418, 16.7
6 2 -2, 53.50, 1.713, 22.9
0 2 4, 53.57, 1.711, 11.5
3 1 5, 63.69, 1.461, 20.0
3 3 1, 63.79, 1.459, 20.2
6 2 -6, 66.94, 1.398, 11.5
3 3 -7, 87.93, 1.110, 8.4

Cell and atoms:
abc: 14.5480 4.8366 10.8251
angles: 90.00 116.56 90.00
Space group C2/m (No. 12)
Asymmetric unit:
1 Sm 0.0833 0.0000 0.2455 [4 per cell]
2 Er 0.0000 0.5000 0.0000 [2 per cell]
3 Er 0.0882 0.5000 0.7523 [4 per cell]
4 Er 0.1649 0.5000 0.4998 [4 per cell]
5 Sc 0.0000 0.0000 0.5000 [2 per cell]
6 Sc 0.1712 0.0000 0.0011 [4 per cell]
7 Sc 0.2487 0.0000 0.7530 [4 per cell]

---

(5)
Computed X-ray powder pattern of Ga6Ni5Rh for Cu Ka, from the GGA-PBE geometry in Alexandria.
Neutral-atom scattering factors, no anomalous dispersion.

Main lines, sorted by position (2θ from 10° to 90°):
index, 2theta, d_spacing, Rel. int.
0 6 0, 43.16, 2.096, 25.7
2 0 0, 43.38, 2.086, 25.5
1 3 2, 43.60, 2.076, 100.0
2 6 0, 62.85, 1.479, 16.0
0 0 4, 63.88, 1.457, 7.5
1 9 -2, 79.43, 1.206, 7.9
1 9 2, 79.46, 1.206, 7.8
3 3 2, 79.75, 1.202, 15.6
2 0 -4, 80.26, 1.196, 11.3
2 0 4, 80.44, 1.194, 3.8

Cell and atoms:
abc: 4.1722 12.5768 5.8290
angles: 90.00 90.08 90.00
Space group C2/m (No. 12)
Asymmetric unit:
1 Ga 0.9998 0.0000 0.2408 [4 per cell]
2 Ga 0.0001 0.3299 0.2471 [8 per cell]
3 Ni 0.0000 0.1648 0.5000 [4 per cell]
4 Ni 0.0000 0.1665 0.0000 [4 per cell]
5 Ni 0.0000 0.5000 0.0000 [2 per cell]
6 Rh 0.0000 0.5000 0.5000 [2 per cell]

---

(6)
Computed X-ray powder pattern of CuAgF for Cu Ka, from the GGA-PBE geometry in Alexandria.
Neutral-atom scattering factors, no anomalous dispersion.

Main lines, sorted by position (2θ from 10° to 90°):
index, 2theta, d_spacing, Rel. int.
0 2 0, 13.56, 6.528, 35.6
0 2 1, 24.58, 3.621, 40.4
0 4 0, 27.32, 3.264, 29.2
1 3 0, 37.12, 2.422, 41.7
1 1 1, 37.78, 2.381, 100.0
0 0 2, 41.50, 2.176, 54.7
1 3 1, 42.73, 2.116, 76.2
0 6 1, 46.67, 1.946, 93.2
1 3 2, 56.88, 1.619, 23.4
2 6 1, 82.72, 1.167, 24.5

Cell and atoms:
abc: 2.9150 13.0565 4.3523
angles: 90.00 90.00 90.00
Space group Cmc2_1 (No. 36)
Asymmetric unit:
1 Cu 0.0000 0.0482 0.0000 [4 per cell]
2 Ag 0.0000 0.3751 0.9989 [4 per cell]
3 F 0.0000 0.1976 0.9943 [4 per cell]

---

(7)
Computed X-ray powder pattern of Sb2TePd for Cu Ka, from the GGA-PBE geometry in Alexandria.
Neutral-atom scattering factors, no anomalous dispersion.

Main lines, sorted by position (2θ from 10° to 90°):
index, 2theta, d_spacing, Rel. int.
1 0 4, 30.26, 2.953, 100.0
0 1 5, 33.02, 2.713, 8.2
0 1 8, 43.20, 2.094, 26.9
1 1 0, 43.45, 2.083, 40.8
0 2 4, 53.87, 1.702, 19.3
1 1 9, 60.10, 1.540, 6.7
2 0 8, 62.94, 1.477, 8.6
2 1 4, 71.60, 1.318, 16.3
1 2 8, 79.58, 1.205, 8.8
3 0 0, 79.76, 1.202, 6.7

Cell and atoms:
abc: 4.1651 4.1651 20.5766
angles: 90.00 90.00 120.00
Space group R-3m (No. 166, hexagonal axes)
Asymmetric unit:
1 Sb 0.0000 0.0000 0.2320 [6 per cell]
2 Te 0.0000 0.0000 0.0000 [3 per cell]
3 Pd 0.0000 0.0000 0.5000 [3 per cell]

---

(8)
Computed X-ray powder pattern of CaLaIn4 for Cu Ka, from the GGA-PBE geometry in Alexandria.
Neutral-atom scattering factors, no anomalous dispersion.

Main lines, sorted by position (2θ from 10° to 90°):
index, 2theta, d_spacing, Rel. int.
0 1 1, 15.16, 5.845, 21.6
1 1 2, 29.26, 3.052, 45.9
0 2 2, 30.59, 2.922, 39.0
1 2 1, 31.40, 2.849, 100.0
1 0 3, 34.75, 2.581, 89.5
0 3 1, 36.78, 2.444, 30.9
2 0 0, 36.89, 2.436, 47.0
1 2 3, 42.31, 2.136, 24.3
2 3 1, 53.08, 1.725, 21.0
1 3 4, 57.52, 1.602, 24.1

Cell and atoms:
abc: 4.8728 7.6083 9.1304
angles: 90.00 90.00 90.00
Space group Imm2 (No. 44)
Asymmetric unit:
1 Ca 0.0000 0.0000 0.0000 [2 per cell]
2 La 0.0000 0.5000 0.1005 [2 per cell]
3 In 0.0000 0.2074 0.3954 [4 per cell]
4 In 0.0000 0.3000 0.7171 [4 per cell]

---

(9)
Computed X-ray powder pattern of Rb3Cu2Bi5S10 for Cu Ka, from the GGA-PBE geometry in Alexandria.
Neutral-atom scattering factors, no anomalous dispersion.

Main lines, sorted by position (2θ from 10° to 90°):
index, 2theta, d_spacing, Rel. int.
2 0 0, 11.96, 7.403, 75.3
2 4 0, 22.97, 3.872, 91.9
4 0 0, 24.04, 3.701, 60.3
1 3 1, 27.05, 3.296, 100.0
3 1 1, 28.84, 3.096, 38.4
3 2 1, 30.09, 2.969, 87.1
2 6 0, 31.93, 2.803, 48.7
3 3 1, 32.09, 2.789, 72.7
5 3 1, 40.50, 2.227, 40.8
0 0 2, 44.47, 2.037, 35.2

Cell and atoms:
abc: 14.8053 18.1698 4.0746
angles: 90.00 90.00 90.00
Space group Pnnm (No. 58)
Asymmetric unit:
1 Rb 0.0000 0.0000 0.0000 [2 per cell]
2 Rb 0.0212 0.2529 0.5000 [4 per cell]
3 Cu 0.2273 0.7505 0.0000 [4 per cell]
4 Bi 0.0000 0.5000 0.0000 [2 per cell]
5 Bi 0.2156 0.5943 0.5000 [4 per cell]
6 Bi 0.2382 0.8961 0.5000 [4 per cell]
7 S 0.0951 0.6353 0.0000 [4 per cell]
8 S 0.1203 0.4471 0.5000 [4 per cell]
9 S 0.1288 0.8504 0.0000 [4 per cell]
10 S 0.1707 0.0321 0.5000 [4 per cell]
11 S 0.2015 0.2276 0.0000 [4 per cell]

---

(10)
Computed X-ray powder pattern of CdSn2Sb3 for Cu Ka, from the GGA-PBE geometry in Alexandria.
Neutral-atom scattering factors, no anomalous dispersion.

Main lines, sorted by position (2θ from 10° to 90°):
index, 2theta, d_spacing, Rel. int.
0 0 2, 22.26, 3.994, 48.3
1 3 -1, 23.14, 3.844, 100.0
2 0 0, 23.47, 3.791, 51.6
1 3 -3, 37.14, 2.421, 57.7
2 0 2, 37.85, 2.377, 27.0
0 6 0, 38.53, 2.337, 26.2
3 3 -1, 38.67, 2.328, 51.5
1 3 3, 44.16, 2.051, 21.2
4 0 -2, 45.49, 1.994, 21.1
2 6 2, 55.12, 1.666, 17.9

Cell and atoms:
abc: 8.0580 14.0195 8.4901
angles: 90.00 109.80 90.00
Space group Cc (No. 9)
Asymmetric unit:
1 Cd 0.0000 0.0852 0.0000 [4 per cell]
2 Sn 0.4846 0.0827 0.4994 [4 per cell]
3 Sn 0.4911 0.2527 0.9915 [4 per cell]
4 Sb 0.1049 0.0795 0.3579 [4 per cell]
5 Sb 0.1082 0.2511 0.8603 [4 per cell]
6 Sb 0.1172 0.4168 0.3713 [4 per cell]